Diffraction record for Sr2La2MnCuO8. The X-ray powder pattern is calculated, not measured: it uses a cell relaxed with PBE+U and Cu Kα, 1.54184 Å.

Structure:
```
Sr2La2MnCuO8
1.0
6.7159 -1.9299 0.0000
6.7159 1.9299 0.0000
-4.5205 0.0000 14.7236
Sr La Mn Cu O
4 4 2 2 16
Cartesian
1.7486 0.0000 0.5195
-1.5759 0.0000 11.5492
10.4873 0.0000 3.1744
7.1628 0.0000 14.2041
0.5053 0.0000 4.2345
-0.5269 0.0000 7.9071
9.4384 0.0000 6.8165
8.4062 0.0000 10.4891
6.0960 0.0000 1.8403
2.8154 0.0000 12.8833
4.9688 0.0000 5.5267
3.9427 0.0000 9.1969
11.7240 0.0000 5.5597
-2.8126 0.0000 9.1639
-0.5704 0.0000 1.8823
2.6823 0.0000 5.0118
1.7053 0.0000 8.5100
4.1901 0.0000 1.2618
0.8906 0.0000 12.1718
5.5511 0.0000 3.6940
6.7159 0.0000 0.0000
4.4557 0.0000 7.3618
3.3604 0.0000 11.0296
8.0208 0.0000 2.5518
4.7214 0.0000 13.4618
7.2061 0.0000 6.2136
6.2291 0.0000 9.7118
9.4818 0.0000 12.8413
```

The 10 most intense peaks (2θ = 5–70°), most intense first:
2θ (°)  I_rel
31.18  100
32.86  94
31.36  34
6.00  29
47.09  25
47.21  24
57.54  23
42.21  23
43.44  19
43.67  18